# Ca3Fe6Sn2O16
Simulated powder X-ray diffraction pattern, Cu Kα. Input: a crystal structure in Alexandria, relaxed with GGA+U.

Principal peaks in the range 2θ = 5–70°, in order of falling intensity:
| Position (°2θ) | d [Å] | I_rel |
| --- | --- | --- |
| 35.06 | 2.560 | 100 |
| 34.91 | 2.570 | 61 |
| 19.40 | 4.575 | 55 |
| 33.34 | 2.687 | 54 |
| 33.63 | 2.665 | 52 |
| 33.95 | 2.641 | 51 |
| 49.63 | 1.837 | 35 |
| 49.35 | 1.847 | 30 |
| 19.24 | 4.613 | 28 |
| 60.04 | 1.541 | 25 |

Unit cell a=9.151 b=3.082 c=10.749 alpha=90.00 beta=90.60 gamma=90.00
Sites, in units of the cell vectors:
Ca 0.000 0.000 0.000
Ca 0.013 0.500 0.492
Ca 0.504 0.000 0.173
Fe 0.176 0.500 0.232
Fe 0.196 0.500 0.733
Fe 0.315 0.000 0.950
Fe 0.666 0.500 0.944
Fe 0.696 0.500 0.445
Fe 0.823 0.000 0.227
Sn 0.349 0.000 0.449
Sn 0.822 0.000 0.735
O 0.049 0.000 0.678
O 0.141 0.000 0.356
O 0.166 0.500 0.913
O 0.228 0.000 0.125
O 0.270 0.500 0.557
O 0.318 0.000 0.773
O 0.371 0.500 0.310
O 0.464 0.500 0.009
O 0.567 0.000 0.475
O 0.632 0.000 0.834
O 0.678 0.500 0.267
O 0.731 0.000 0.058
O 0.785 0.500 0.613
O 0.837 0.000 0.414
O 0.867 0.500 0.868
O 0.969 0.500 0.178